For NdZrIrRh, a GGA-PBE-relaxed structure gives the theoretical powder diffractogram in this record (λ = 1.5418 Å (Cu Kα)).

Principal peaks in the range 2θ = 10–80°, by angle:
index, 2θ/deg, I/Imax
1 1 1, 22.52, 8
2 0 0, 26.06, 1
2 2 0, 37.19, 100
3 1 1, 43.92, 4
4 0 0, 53.61, 17
3 3 1, 58.87, 2
4 2 0, 60.56, 1
4 2 2, 67.05, 35
5 1 1, 71.72, 1
4 4 0, 79.25, 11

Crystal structure
Unit cell a=6.8379 b=6.8379 c=6.8379 alpha=90.00 beta=90.00 gamma=90.00
Space group F-43m (No. 216)
Asymmetric unit:
Nd (0.0000, 0.0000, 0.0000) (multiplicity 4)
Zr (0.0000, 0.0000, 0.5000) (multiplicity 4)
Ir (0.2500, 0.2500, 0.2500) (multiplicity 4)
Rh (0.2500, 0.2500, 0.7500) (multiplicity 4)